The following is a theoretical powder XRD pattern of NaCa2Ta3O10. It was derived from the GGA-PBE geometry in the Materials Project, using Cu Kα X-rays.

The 12 most intense peaks (10° ≤ 2θ ≤ 90°), in order of falling intensity:
2θ = 31.11°, 2.875 Å, intensity 100.0
2θ = 22.74°, 3.911 Å, intensity 95.5
2θ = 32.07°, 2.791 Å, intensity 48.4
2θ = 24.27°, 3.667 Å, intensity 40.9
2θ = 56.57°, 1.627 Å, intensity 38.5
2θ = 18.12°, 4.897 Å, intensity 36.1
2θ = 46.00°, 1.973 Å, intensity 35.8
2θ = 54.73°, 1.677 Å, intensity 25.1
2θ = 27.22°, 3.276 Å, intensity 21.5
2θ = 51.90°, 1.762 Å, intensity 20.9
2θ = 12.05°, 7.345 Å, intensity 20.9
2θ = 37.08°, 2.424 Å, intensity 18.4

Lattice parameters (Å, degrees): 14.953 14.953 14.953 164.83 164.83 21.51
Positions (direct):
Na1 0.000 0.000 0.000
Ca1 0.172 0.672 0.500
Ca2 0.328 0.828 0.500
Ta1 0.604 0.104 0.500
Ta2 0.750 0.250 0.500
Ta3 0.896 0.396 0.500
O1 0.118 0.118 0.000
O2 0.250 0.250 0.000
O3 0.381 0.381 0.000
O4 0.543 0.043 0.500
O5 0.619 0.619 0.000
O6 0.683 0.183 0.500
O7 0.750 0.750 0.000
O8 0.817 0.317 0.500
O9 0.882 0.882 0.000
O10 0.957 0.457 0.500

=====

The following is a theoretical powder XRD pattern of Na2Ca2Ta3O10. It was derived from the GGA-PBE geometry in the Materials Project, using Cu Kα X-rays.

The 12 most intense peaks (10° ≤ 2θ ≤ 90°), in order of falling intensity:
2θ = 31.28°, 2.860 Å, intensity 100.0
2θ = 22.51°, 3.951 Å, intensity 78.0
2θ = 31.73°, 2.820 Å, intensity 54.0
2θ = 56.23°, 1.636 Å, intensity 39.7
2θ = 45.48°, 1.994 Å, intensity 33.2
2θ = 18.54°, 4.787 Å, intensity 29.5
2θ = 55.38°, 1.659 Å, intensity 22.9
2θ = 65.25°, 1.430 Å, intensity 19.4
2θ = 51.32°, 1.780 Å, intensity 17.3
2θ = 44.15°, 2.051 Å, intensity 16.7
2θ = 12.33°, 7.180 Å, intensity 16.5
2θ = 24.80°, 3.590 Å, intensity 15.6

Lattice parameters (Å, degrees): 14.635 14.635 14.635 164.34 164.34 22.22
Positions (direct):
Na1 0.212 0.212 0.000
Na2 0.788 0.788 0.000
Ca1 0.076 0.076 0.000
Ca2 0.924 0.924 0.000
Ta1 0.356 0.356 0.000
Ta2 0.500 0.500 0.000
Ta3 0.644 0.644 0.000
O1 0.000 0.500 0.500
O2 0.133 0.633 0.500
O3 0.292 0.292 0.000
O4 0.367 0.867 0.500
O5 0.432 0.432 0.000
O6 0.500 0.000 0.500
O7 0.568 0.568 0.000
O8 0.633 0.133 0.500
O9 0.708 0.708 0.000
O10 0.867 0.367 0.500

=====

The following is a theoretical powder XRD pattern of Na3Ca2TaO6. It was derived from the GGA-PBE geometry in the Materials Project, using Cu Kα X-rays.

The 12 most intense peaks (10° ≤ 2θ ≤ 90°), in order of falling intensity:
2θ = 16.83°, 5.269 Å, intensity 100.0
2θ = 38.42°, 2.343 Å, intensity 60.0
2θ = 37.57°, 2.394 Å, intensity 42.5
2θ = 54.82°, 1.675 Å, intensity 36.6
2θ = 20.60°, 4.311 Å, intensity 34.6
2θ = 32.77°, 2.733 Å, intensity 31.2
2θ = 32.97°, 2.717 Å, intensity 29.9
2θ = 27.83°, 3.206 Å, intensity 25.2
2θ = 17.93°, 4.948 Å, intensity 24.8
2θ = 21.11°, 4.209 Å, intensity 23.7
2θ = 49.72°, 1.834 Å, intensity 15.4
2θ = 31.40°, 2.849 Å, intensity 14.4

Lattice parameters (Å, degrees): 5.833 5.833 10.440 100.48 100.48 110.41
Positions (direct):
Na1 0.000 0.000 0.000
Na2 0.065 0.582 0.157
Na3 0.157 0.159 0.325
Na4 0.322 0.319 0.656
Na5 0.750 0.258 0.503
Na6 0.902 0.411 0.825
Ca1 0.234 0.749 0.494
Ca2 0.494 0.490 0.991
Ca3 0.581 0.083 0.165
Ca4 0.821 0.828 0.664
Ta1 0.401 0.907 0.825
Ta2 0.659 0.660 0.333
O1 0.115 0.637 0.681
O2 0.187 0.119 0.830
O3 0.267 0.758 0.976
O4 0.365 0.371 0.180
O5 0.438 0.866 0.327
O6 0.516 0.535 0.480
O7 0.558 0.056 0.687
O8 0.616 0.700 0.825
O9 0.696 0.215 0.977
O10 0.788 0.802 0.178
O11 0.864 0.444 0.325
O12 0.957 0.952 0.481